# 1
For ThMnSiH, a PBE-relaxed structure gives the computed X-ray powder pattern in this record (CuKα).

Structure:
```
8
Lattice="3.982 0.000 0.000 0.000 3.982 0.000 0.000 0.000 7.768" Properties=species:S:1:pos:R:3 pbc="T T T"
Th 0.995 0.995 1.373
Th 2.986 2.986 6.395
Mn 0.995 2.986 3.884
Mn 2.986 0.995 3.884
Si 0.995 0.995 5.199
Si 2.986 2.986 2.569
H 0.995 2.986 0.000
H 2.986 0.995 0.000
```

Main lines, most intense first (15 to 90 degrees two-theta):
two_theta  I_rel  index
25.13  100.0  1 0 1
32.20  73.0  1 0 2
39.53  44.3  1 1 2
31.78  34.7  1 1 0
45.57  32.8  2 0 0
33.87  30.7  1 1 1
56.89  29.7  2 1 2
52.74  28.5  2 1 1
52.42  26.9  1 0 4
34.64  22.2  0 0 3

---

# 2
For AcMgGe2, a PBE-relaxed structure gives the computed X-ray powder pattern in this record (CuKα).

Structure:
```
16
Lattice="8.392 0.000 0.000 0.000 4.179 0.000 0.000 0.000 11.324" Properties=species:S:1:pos:R:3 pbc="T T T"
Ac 1.046 1.045 1.567
Ac 3.150 3.134 7.229
Ac 5.242 1.045 4.095
Ac 7.346 3.134 9.757
Mg 0.065 3.134 4.464
Mg 4.131 1.045 10.126
Mg 4.261 3.134 1.198
Mg 8.327 1.045 6.860
Ge 1.460 1.045 9.176
Ge 1.987 1.045 4.981
Ge 2.209 3.134 10.643
Ge 2.736 3.134 3.514
Ge 5.656 1.045 7.810
Ge 6.183 1.045 0.681
Ge 6.405 3.134 6.343
Ge 6.932 3.134 2.148
```

Main lines, most intense first (15 to 90 degrees two-theta):
two_theta  I_rel  index
30.18  100.0  2 1 0
33.73  90.7  1 1 3
28.60  61.1  1 1 2
22.64  60.1  2 0 1
31.93  59.4  0 1 3
25.88  43.0  1 0 3
43.30  34.9  0 2 0
44.26  34.3  2 1 4
35.80  32.6  3 0 2
39.58  32.3  3 1 1